1.
The following is a calculated X-ray diffraction stick pattern of Na3CeF7. It was derived from the GGA-PBE geometry in the Materials Project, using CuKα.

Peak list (10 most intense, 2θ = 15–90°, sorted by position)
(0 0 1), 16.46°, intensity 44.0
(1 1 0), 17.67°, intensity 83.0
(1 1 -1), 18.03°, intensity 57.2
(2 0 -1), 22.22°, intensity 21.0
(2 0 0), 27.30°, intensity 23.9
(0 2 1), 28.19°, intensity 100.0
(4 0 -2), 45.34°, intensity 17.7
(2 2 1), 46.19°, intensity 31.4
(0 4 0), 46.32°, intensity 17.2
(2 2 -3), 47.42°, intensity 30.7

Structural model:
Cell: 8.006 7.840 6.599 Å, 90.00 125.30 90.00°
Space group Cm (No. 8)
Asymmetric unit:
Na 0.000 0.000 0.000 (multiplicity 2)
Na 0.009 0.270 0.547 (multiplicity 4)
Ce 0.460 0.000 0.010 (multiplicity 2)
F 0.114 0.000 0.743 (multiplicity 2)
F 0.142 0.294 0.277 (multiplicity 4)
F 0.168 0.500 0.887 (multiplicity 2)
F 0.357 0.000 0.265 (multiplicity 2)
F 0.371 0.237 0.782 (multiplicity 4)

---

2.
The following is a calculated X-ray diffraction stick pattern of Li3Ti3P4O16. It was derived from the GGA-PBE geometry in the Materials Project, using CuKα.

Peak list (10 most intense, 2θ = 15–90°, sorted by position)
(1 1 -1), 16.62°, intensity 100.0
(1 1 1), 16.73°, intensity 80.2
(2 0 -2), 18.77°, intensity 49.8
(2 0 2), 19.14°, intensity 59.4
(5 1 0), 26.92°, intensity 38.0
(1 1 -3), 28.86°, intensity 39.7
(6 0 -2), 32.14°, intensity 37.9
(0 2 2), 32.38°, intensity 87.0
(6 0 2), 32.82°, intensity 37.5
(0 0 4), 33.46°, intensity 40.4

Structural model:
Cell: 19.298 6.456 10.714 Å, 90.00 91.32 90.00°
Space group C2/c (No. 15)
Asymmetric unit:
Li 0.000 0.091 0.250 (multiplicity 4)
Li 0.069 0.361 0.971 (multiplicity 8)
Ti 0.155 0.020 0.748 (multiplicity 8)
Ti 0.250 0.250 0.500 (multiplicity 4)
P 0.080 0.164 0.492 (multiplicity 8)
P 0.199 0.482 0.244 (multiplicity 8)
O 0.018 0.298 0.462 (multiplicity 8)
O 0.077 0.047 0.620 (multiplicity 8)
O 0.086 0.007 0.887 (multiplicity 8)
O 0.146 0.302 0.493 (multiplicity 8)
O 0.154 0.333 0.777 (multiplicity 8)
O 0.155 0.292 0.212 (multiplicity 8)
O 0.246 0.054 0.647 (multiplicity 8)
O 0.247 0.024 0.362 (multiplicity 8)